For Nb6Ni6O, a structure optimized by DFT (GGA+U) gives the computed PXRD pattern in this record (Cu Kα (λ = 1.5418 Å)).
Kinematic intensities with the Lorentz-polarization factor, no thermal factor.

Principal peaks in the range 2θ from 10° to 90°, most intense first:
2theta	I_rel
41.6	100
45.5	34
39.2	34
71.0	33
85.8	16
34.7	14
72.7	9
31.8	9
68.1	9
48.5	8

Structural model:
Cell: 7.968 7.968 7.968 Å, 60.00 60.00 60.00°
Element x y z (fractional)
Nb (0.072, 0.072, 0.678)
Nb (0.072, 0.678, 0.072)
Nb (0.072, 0.678, 0.678)
Nb (0.322, 0.322, 0.928)
Nb (0.322, 0.928, 0.322)
Nb (0.322, 0.928, 0.928)
Nb (0.678, 0.072, 0.072)
Nb (0.678, 0.072, 0.678)
Nb (0.678, 0.678, 0.072)
Nb (0.928, 0.322, 0.322)
Nb (0.928, 0.322, 0.928)
Nb (0.928, 0.928, 0.322)
Ni (0.000, 0.500, 0.500)
Ni (0.295, 0.295, 0.295)
Ni (0.295, 0.295, 0.615)
Ni (0.295, 0.615, 0.295)
Ni (0.385, 0.705, 0.705)
Ni (0.500, 0.000, 0.500)
Ni (0.500, 0.500, 0.000)
Ni (0.500, 0.500, 0.500)
Ni (0.615, 0.295, 0.295)
Ni (0.705, 0.385, 0.705)
Ni (0.705, 0.705, 0.385)
Ni (0.705, 0.705, 0.705)
O (0.125, 0.125, 0.125)
O (0.875, 0.875, 0.875)